No. 1
# Bi2O3
Calculated powder XRD pattern, Cu Ka. Input: a structure optimized by DFT (PBE).
Intensities are scaled so that the largest is 100.

Structure:
```
data_Bi2O3
_symmetry_space_group_name_H-M 'P 1'
_symmetry_Int_Tables_number 1
_cell_length_a 3.7686
_cell_length_b 3.9273
_cell_length_c 20.4663
_cell_angle_alpha 90.95
_cell_angle_beta 94.20
_cell_angle_gamma 115.70
loop_
_symmetry_equiv_pos_as_xyz
'x,y,z'
loop_
_atom_site_label
_atom_site_type_symbol
_atom_site_fract_x
_atom_site_fract_y
_atom_site_fract_z
Bi1 Bi 0.0000 0.0000 0.0000
Bi2 Bi 0.0227 0.1753 0.6608
Bi3 Bi 0.5027 0.5004 0.5055
Bi4 Bi 0.5853 0.0042 0.1746
Bi5 Bi 0.6357 0.3759 0.8357
Bi6 Bi 0.9578 0.6553 0.3372
O1 O 0.2450 0.7093 0.6096
O2 O 0.4133 0.4667 0.3949
O3 O 0.4686 0.8388 0.0601
O4 O 0.6095 0.3637 0.7213
O5 O 0.6694 0.0699 0.2894
O6 O 0.7138 0.4280 0.9518
O7 O 0.8369 0.1360 0.4965
O8 O 0.9301 0.6645 0.1844
O9 O 0.9740 0.0275 0.8425
```

Main lines, in order of rising 2θ (2θ from 10° to 90°):
d [Å], Position (°2θ), I_rel, h k l
3.451, 25.82, 47, 0 1 1
3.397, 26.24, 100, 0 0 6
3.142, 28.41, 57, 1 0 -3
3.067, 29.12, 55, 1 -1 2
2.925, 30.56, 42, 1 0 3
2.788, 32.10, 28, -1 1 4
2.744, 32.63, 26, 0 1 -5
1.971, 46.05, 19, 1 -1 8
1.965, 46.21, 17, 1 0 -9
1.699, 53.98, 16, 0 0 12

No. 2
# BiO2
Calculated powder XRD pattern, Cu Ka. Input: a structure optimized by DFT (PBE).
Intensities are scaled so that the largest is 100.

Structure:
```
data_BiO2
_symmetry_space_group_name_H-M 'P -1'
_symmetry_Int_Tables_number 2
_cell_length_a 6.1917
_cell_length_b 6.9645
_cell_length_c 12.5012
_cell_angle_alpha 90.12
_cell_angle_beta 90.19
_cell_angle_gamma 90.01
loop_
_symmetry_equiv_pos_as_xyz
'x,y,z'
'-x,-y,-z'
loop_
_atom_site_label
_atom_site_type_symbol
_atom_site_fract_x
_atom_site_fract_y
_atom_site_fract_z
Bi1 Bi 0.0000 0.0000 0.0000
Bi2 Bi 0.0000 0.0000 0.5000
Bi3 Bi 0.0000 0.5000 0.0000
Bi4 Bi 0.0000 0.5000 0.5000
Bi5 Bi 0.4919 0.2501 0.0248
Bi6 Bi 0.4931 0.2499 0.4804
O1 O 0.1222 0.2504 0.0935
O2 O 0.1266 0.2497 0.4084
O3 O 0.1649 0.7497 0.4225
O4 O 0.1698 0.7503 0.0758
O5 O 0.3031 0.0227 0.5787
O6 O 0.3033 0.0272 0.9229
O7 O 0.3034 0.4779 0.5786
O8 O 0.3037 0.4722 0.9230
```

Main lines, in order of rising 2θ (2θ from 10° to 90°):
d [Å], Position (°2θ), I_rel, h k l
6.251, 14.17, 100, 0 0 2
3.125, 28.56, 12, 0 0 4
3.096, 28.84, 16, 2 0 0
3.035, 29.43, 27, 1 2 0
2.774, 32.27, 22, 2 0 2
2.730, 32.80, 43, 1 2 2
2.202, 40.98, 8, 2 0 -4
2.179, 41.45, 18, 1 -2 4
1.775, 51.47, 9, 3 2 0
1.709, 53.64, 10, 3 -2 2

No. 3
# Bi2O3
Calculated powder XRD pattern, Cu Ka. Input: a structure optimized by DFT (PBE).
Intensities are scaled so that the largest is 100.

Structure:
```
data_Bi2O3
_symmetry_space_group_name_H-M 'P 1 21/c 1'
_symmetry_Int_Tables_number 14
_cell_length_a 9.4377
_cell_length_b 7.3801
_cell_length_c 10.3273
_cell_angle_alpha 90.00
_cell_angle_beta 103.32
_cell_angle_gamma 90.00
loop_
_symmetry_equiv_pos_as_xyz
'x,y,z'
'-x,-y,-z'
'-x,y+1/2,-z+1/2'
'x,-y+1/2,z+1/2'
loop_
_atom_site_label
_atom_site_type_symbol
_atom_site_fract_x
_atom_site_fract_y
_atom_site_fract_z
Bi1 Bi 0.0744 0.1226 0.1632
Bi2 Bi 0.2157 0.5984 0.0719
Bi3 Bi 0.2873 0.1211 0.9317
Bi4 Bi 0.4196 0.5953 0.8212
O1 O 0.0638 0.1340 0.8211
O2 O 0.2158 0.5638 0.5729
O3 O 0.2248 0.0500 0.3457
O4 O 0.2742 0.1975 0.6130
O5 O 0.3123 0.6381 0.2821
O6 O 0.4263 0.6537 0.0319
```

Main lines, in order of rising 2θ (2θ from 10° to 90°):
d [Å], Position (°2θ), I_rel, h k l
3.421, 26.04, 51, 2 1 -2
3.159, 28.25, 100, 1 2 1
3.096, 28.84, 58, 1 1 -3
3.057, 29.21, 48, 2 0 2
2.887, 30.98, 44, 3 1 -1
2.378, 37.83, 21, 0 1 4
2.193, 41.17, 18, 4 1 0
2.075, 43.62, 29, 2 3 -2
1.784, 51.21, 19, 3 2 3
1.679, 54.68, 19, 4 3 0

No. 4
# BiO2
Calculated powder XRD pattern, Cu Ka. Input: a structure optimized by DFT (PBE).
Intensities are scaled so that the largest is 100.

Structure:
```
data_BiO2
_symmetry_space_group_name_H-M 'P 63/m m c'
_symmetry_Int_Tables_number 194
_symmetry_space_group_name_Hall '-P 6c 2c'
_cell_length_a 3.5653
_cell_length_b 3.5653
_cell_length_c 11.1422
_cell_angle_alpha 90.00
_cell_angle_beta 90.00
_cell_angle_gamma 120.00
loop_
_atom_site_label
_atom_site_type_symbol
_atom_site_fract_x
_atom_site_fract_y
_atom_site_fract_z
Bi1 Bi 0.0000 0.0000 0.0000
O1 O 0.3333 0.6667 0.0873
```

Main lines, in order of rising 2θ (2θ from 10° to 90°):
d [Å], Position (°2θ), I_rel, h k l
5.571, 15.91, 100, 0 0 2
3.088, 28.92, 53, 1 0 0
2.786, 32.13, 13, 0 0 4
2.701, 33.17, 82, 1 0 2
2.068, 43.77, 46, 1 0 4
1.783, 51.25, 17, 1 1 0
1.698, 54.01, 26, 1 1 2
1.591, 57.95, 21, 1 0 6
1.501, 61.79, 13, 1 1 4
1.488, 62.42, 14, 2 0 2

No. 5
# Bi2O3
Calculated powder XRD pattern, Cu Ka. Input: a structure optimized by DFT (PBE).
Intensities are scaled so that the largest is 100.

Structure:
```
data_Bi2O3
_symmetry_space_group_name_H-M 'P 1 21/c 1'
_symmetry_Int_Tables_number 14
_cell_length_a 5.9308
_cell_length_b 7.7716
_cell_length_c 8.6981
_cell_angle_alpha 90.00
_cell_angle_beta 117.39
_cell_angle_gamma 90.00
loop_
_symmetry_equiv_pos_as_xyz
'x,y,z'
'-x,-y,-z'
'-x,y+1/2,-z+1/2'
'x,-y+1/2,z+1/2'
loop_
_atom_site_label
_atom_site_type_symbol
_atom_site_fract_x
_atom_site_fract_y
_atom_site_fract_z
Bi1 Bi 0.0592 0.0252 0.3061
Bi2 Bi 0.4304 0.7273 0.6533
O1 O 0.0540 0.0778 0.9759
O2 O 0.2687 0.5121 0.1142
O3 O 0.2698 0.7425 0.8569
```

Main lines, in order of rising 2θ (2θ from 10° to 90°):
d [Å], Position (°2θ), I_rel, h k l
3.862, 23.03, 28, 0 0 2
3.665, 24.28, 16, 1 1 -2
3.458, 25.76, 37, 0 1 2
3.127, 28.55, 100, 1 2 0
2.877, 31.09, 44, 2 0 -2
2.839, 31.52, 46, 1 2 -2
2.633, 34.05, 16, 2 0 0
2.460, 36.52, 18, 1 1 2
1.834, 49.73, 16, 1 3 2
1.762, 51.89, 24, 3 2 -2

No. 6
# Bi2O3
Calculated powder XRD pattern, Cu Ka. Input: a structure optimized by DFT (PBE).
Intensities are scaled so that the largest is 100.

Structure:
```
data_Bi2O3
_symmetry_space_group_name_H-M 'P -4 21 c'
_symmetry_Int_Tables_number 114
_cell_length_a 8.0752
_cell_length_b 8.0752
_cell_length_c 5.7267
_cell_angle_alpha 90.00
_cell_angle_beta 90.00
_cell_angle_gamma 90.00
loop_
_symmetry_equiv_pos_as_xyz
'x,y,z'
'y,-x,-z'
'-x,-y,z'
'-y,x,-z'
'x+1/2,-y+1/2,-z+1/2'
'y+1/2,x+1/2,z+1/2'
'-x+1/2,y+1/2,-z+1/2'
'-y+1/2,-x+1/2,z+1/2'
loop_
_atom_site_label
_atom_site_type_symbol
_atom_site_fract_x
_atom_site_fract_y
_atom_site_fract_z
Bi1 Bi 0.0330 0.2650 0.2556
O1 O 0.0000 0.5000 0.4300
O2 O 0.1726 0.2127 0.5692
```

Main lines, in order of rising 2θ (2θ from 10° to 90°):
d [Å], Position (°2θ), I_rel, h k l
3.611, 24.65, 8, 2 1 0
3.300, 27.02, 100, 2 0 1
2.858, 31.29, 42, 0 0 2
2.021, 44.85, 37, 2 2 2
1.853, 49.17, 8, 4 1 1
1.726, 53.07, 17, 2 0 3
1.722, 53.19, 21, 4 2 1
1.650, 55.71, 10, 4 0 2
1.616, 56.99, 6, 4 3 0
1.312, 71.99, 8, 4 2 3

Number 1 is which compound? Bi2O3